Diffraction record for MgTi8Ni8O24. The XRD peak list is simulated, not measured: it uses DFT lattice parameters and positions (GGA+U) and copper Kα.

Atomic structure:
```
41
Lattice="5.5993 0.0000 0.0000 0.9131 9.0251 0.0000 0.9007 3.1745 8.4736" Properties=species:S:1:pos:R:3 pbc="T T T"
Mg 0.0000 0.0000 0.0000
Ti 1.6728 9.1898 6.6657
Ti 1.1595 3.1003 2.3200
Ti 2.2330 9.3622 3.7165
Ti 3.9797 10.2899 7.3489
Ti 4.2361 4.6892 6.5583
Ti 3.8114 4.4604 0.2241
Ti 4.3217 7.6413 2.3612
Ti 4.5661 4.9249 3.6429
Ni 1.4678 6.1263 4.4771
Ni 1.7736 3.5698 5.6476
Ni 2.2147 6.4709 7.8276
Ni 1.8317 6.3675 1.5934
Ni 2.2622 0.7744 0.8030
Ni 4.7464 10.6610 4.4393
Ni 5.0053 7.9172 5.6786
Ni 4.3480 1.9310 1.6323
O 0.9132 4.1507 3.8601
O 1.4234 8.1466 4.8936
O 0.5702 1.9425 0.6995
O 2.0982 10.2170 8.2238
O 2.3187 8.3372 2.1565
O 2.8151 10.4297 5.4930
O 1.9229 4.3551 1.1527
O 2.3920 5.4676 6.1188
O 2.9583 3.1470 7.3801
O 3.4795 8.2047 7.0624
O 2.5785 1.9857 2.7919
O 3.1358 6.0465 3.2056
O 3.7390 6.4454 0.5823
O 4.1900 8.6519 3.9665
O 3.7766 3.6603 4.7533
O 4.2861 5.7834 8.1947
O 4.9966 8.9605 1.2651
O 5.5032 9.9474 6.2074
O 5.0595 5.9327 5.2957
O 4.6924 3.9481 1.8917
O 5.7106 3.6847 6.7639
O 5.7346 6.4913 2.7426
O 6.2103 7.7166 7.5274
O 5.5488 1.5800 3.2936
```

Top 10 peaks for 2θ from 10° to 80°, low angle first:
Position (°2θ), d_spacing, I (rel.), h k l
32.21, 2.779, 320, 2 0 0
32.39, 2.764, 624, 1 3 1
34.85, 2.574, 552, 0 2 -2
35.26, 2.545, 1000, -1 1 3
48.18, 1.889, 247, 2 2 -2
52.50, 1.743, 659, 3 -1 1
53.14, 1.723, 445, 1 3 5
62.66, 1.483, 227, 1 1 -5
62.85, 1.479, 230, 1 -5 1
63.55, 1.464, 218, -2 4 4